(1)
Starting from a structure optimized by DFT (PBE), the powder X-ray diffraction pattern of Dy3InCu was computed for copper Kα.
Kinematic intensities with the Lorentz-polarization factor, no thermal factor.

Principal peaks in the range 15 to 90 degrees two-theta, in order of rising 2θ:
| 2θ (°) | I/Imax |
| --- | --- |
| 25.05 | 51 |
| 25.45 | 26 |
| 32.26 | 49 |
| 33.85 | 50 |
| 34.02 | 67 |
| 34.16 | 100 |
| 36.40 | 39 |
| 38.63 | 67 |
| 51.75 | 24 |
| 56.41 | 24 |

```
Dy3InCu
1.0
6.441 -5.610 0.000
6.441 5.610 0.000
0.000 0.000 7.687
Dy In Cu
12 4 4
Cartesian
4.662 3.836 3.117
6.441 4.791 6.084
4.662 1.775 6.960
8.220 3.836 3.117
6.441 0.820 2.241
8.220 1.775 6.960
4.662 -1.775 0.727
6.441 -0.820 5.446
4.662 -3.836 4.570
8.220 -1.775 0.727
6.441 -4.791 1.603
8.220 -3.836 4.570
3.220 0.915 1.922
3.220 -0.915 5.765
9.661 0.915 1.922
9.661 -0.915 5.765
6.441 3.441 0.897
6.441 2.170 4.740
6.441 -2.170 2.947
6.441 -3.441 6.791
```

(2)
Starting from a structure optimized by DFT (PBE), the powder X-ray diffraction pattern of Ac12Tl6N was computed for copper Kα.
Kinematic intensities with the Lorentz-polarization factor, no thermal factor.

Principal peaks in the range 15 to 90 degrees two-theta, in order of rising 2θ:
| 2θ (°) | I/Imax |
| --- | --- |
| 25.63 | 58 |
| 27.00 | 26 |
| 28.79 | 98 |
| 30.73 | 33 |
| 32.10 | 21 |
| 32.78 | 100 |
| 37.16 | 17 |
| 52.52 | 21 |
| 57.81 | 18 |
| 61.96 | 16 |

```
Ac12Tl6N
1.0
6.606 3.814 4.865
-6.606 3.814 4.865
0.000 -7.627 4.865
Ac Tl N
12 6 1
Cartesian
-5.800 -1.621 8.039
-1.496 -5.834 6.555
-1.429 -1.678 5.713
-4.304 4.212 6.555
-0.739 2.076 5.713
-2.167 0.399 8.880
2.167 -0.399 5.713
0.739 -2.076 8.880
4.304 -4.212 8.039
1.429 1.678 8.880
1.496 5.834 8.039
5.800 1.621 6.555
-4.039 0.705 6.088
-2.630 -3.145 8.505
1.409 -3.850 6.088
-1.409 3.850 8.505
2.630 3.145 6.088
4.039 -0.705 8.505
0.000 0.000 7.297
```

(3)
Starting from a structure optimized by DFT (PBE), the powder X-ray diffraction pattern of Rb2Al2Si3O10 was computed for copper Kα.
Kinematic intensities with the Lorentz-polarization factor, no thermal factor.

Principal peaks in the range 15 to 90 degrees two-theta, in order of rising 2θ:
| 2θ (°) | I/Imax |
| --- | --- |
| 19.96 | 40 |
| 21.02 | 34 |
| 22.01 | 42 |
| 24.51 | 31 |
| 27.33 | 82 |
| 28.63 | 48 |
| 28.88 | 100 |
| 30.37 | 31 |
| 30.86 | 77 |
| 31.80 | 40 |

```
Rb2Al2Si3O10
1.0
0.000 9.606 3.297
8.900 0.000 3.297
8.900 9.606 0.000
Rb Al Si O
4 4 6 20
Cartesian
5.051 1.126 1.648
9.501 3.677 3.297
3.849 8.480 1.648
8.298 15.535 3.297
8.196 7.839 3.123
9.604 11.373 3.123
14.054 12.642 4.772
12.645 16.176 4.772
10.677 8.960 1.531
4.450 4.803 0.703
7.122 10.252 1.531
6.227 5.449 3.179
11.572 13.763 3.179
8.900 9.606 5.649
13.129 6.153 3.120
16.442 9.780 3.282
5.807 4.977 1.634
9.572 7.894 2.043
10.836 10.270 2.493
3.092 4.629 1.634
7.702 6.145 3.060
8.228 11.318 2.043
6.964 8.943 2.493
14.548 10.948 4.708
15.285 13.746 4.141
12.677 12.697 3.691
10.098 13.067 3.060
5.122 6.515 3.691
8.679 8.256 4.768
11.414 15.073 4.141
9.120 10.956 4.768
4.670 13.059 3.120
1.358 9.432 3.282
12.152 17.870 4.708
```

(4)
Starting from a structure optimized by DFT (PBE), the powder X-ray diffraction pattern of YCd2Ir was computed for copper Kα.
Kinematic intensities with the Lorentz-polarization factor, no thermal factor.

Principal peaks in the range 15 to 90 degrees two-theta, in order of rising 2θ:
| 2θ (°) | I/Imax |
| --- | --- |
| 35.43 | 100 |
| 38.25 | 45 |
| 44.16 | 12 |
| 46.49 | 8 |
| 55.20 | 15 |
| 61.72 | 14 |
| 67.33 | 30 |
| 72.62 | 6 |
| 73.25 | 6 |
| 74.98 | 8 |

```
YCd2Ir
1.0
3.328 0.000 0.000
0.000 3.328 0.000
0.000 0.000 7.814
Y Cd Ir
1 2 1
Cartesian
0.000 0.000 0.000
0.000 0.000 4.463
1.664 1.664 2.464
1.664 1.664 6.149
```